[1]
For Pr6Ho12Th, a PBE-relaxed structure gives the calculated X-ray powder pattern in this record (Cu Ka).

Structural model:
```
Pr6Ho12Th
1.0
6.6800 3.8567 4.1666
-6.6800 3.8567 4.1666
0.0000 -7.7134 4.1666
Pr Ho Th
6 12 1
Cartesian
-2.9550 -1.7060 5.6577
0.0000 -3.4121 6.8422
-2.9550 1.7060 6.8422
2.9550 -1.7061 5.6576
0.0000 3.4121 5.6576
2.9550 1.7061 6.8422
-1.7009 -4.7674 4.1666
-4.9791 0.9107 4.1666
0.0000 -2.0961 3.0141
-1.8153 1.0480 3.0141
1.7009 -4.7674 4.1666
-3.2782 3.8567 4.1666
1.8153 1.0480 3.0140
-1.8153 -1.0480 9.4858
4.9791 0.9107 4.1666
3.2782 3.8567 4.1666
1.8153 -1.0480 9.4858
0.0000 2.0961 9.4858
0.0000 0.0000 6.2499
```

Most intense lines, 15 to 90 degrees two-theta, low angle first:
2theta	Rel. int.
29.61	60
31.34	63
31.61	60
31.75	100
34.16	50
34.41	34

***

[2]
For ErMgBi, a PBE-relaxed structure gives the calculated X-ray powder pattern in this record (Cu Ka).

Structural model:
```
ErMgBi
1.0
-1.9212 1.9212 5.5599
1.9212 -1.9212 5.5599
1.9212 1.9212 -5.5599
Er Mg Bi
1 1 1
Cartesian
0.0000 0.0000 0.0000
0.0000 0.0000 7.5358
0.0000 0.0000 3.5870
```

Most intense lines, 15 to 90 degrees two-theta, low angle first:
2theta	Rel. int.
15.94	19
24.51	43
32.97	53
33.59	100
47.30	23
59.27	40

***

[3]
For YPtS, a PBE-relaxed structure gives the calculated X-ray powder pattern in this record (Cu Ka).

Structural model:
```
YPtS
1.0
2.1938 1.2666 8.0958
-2.1938 1.2666 8.0958
0.0000 -2.5332 8.0958
Y Pt S
2 2 2
Cartesian
0.0000 0.0000 2.1364
0.0000 0.0000 22.1509
0.0000 0.0000 8.1006
0.0000 0.0000 16.1867
0.0000 0.0000 5.0672
0.0000 0.0000 19.2201
```

Most intense lines, 15 to 90 degrees two-theta, low angle first:
2theta	Rel. int.
27.69	52
29.85	52
35.02	61
41.15	100
42.70	48
53.86	53

***

[4]
For PrDy6In2, a PBE-relaxed structure gives the calculated X-ray powder pattern in this record (Cu Ka).

Structural model:
```
PrDy6In2
1.0
-2.8434 2.8434 10.3969
2.8434 -2.8434 10.3969
2.8434 2.8434 -10.3969
Pr Dy In
1 6 2
Cartesian
0.0000 0.0000 0.0000
1.0973 -1.0973 8.9922
2.8434 0.0000 5.1985
1.7461 1.7461 1.4047
-1.0973 1.0973 8.9922
0.0000 2.8434 5.1985
1.0973 1.0973 11.8016
0.0000 0.0000 6.3993
0.0000 0.0000 14.3946
```

Most intense lines, 15 to 90 degrees two-theta, low angle first:
2theta	Rel. int.
20.20	41
23.72	100
28.05	76
32.65	69
34.15	51
37.68	62

***

[5]
For Na3Bi2Pb4, a PBE-relaxed structure gives the calculated X-ray powder pattern in this record (Cu Ka).

Structural model:
```
Na3Bi2Pb4
1.0
5.9146 0.0000 0.0000
2.9538 5.1833 0.0000
1.4447 2.1983 9.0252
Na Bi Pb
3 2 4
Cartesian
0.0000 0.0000 0.0000
4.1361 3.3149 3.0928
6.1770 4.0666 5.9325
3.2548 2.3796 6.2048
7.0583 5.0019 2.8204
1.2740 1.6270 3.0000
4.3432 3.9177 8.9889
5.9699 3.4639 0.0363
9.0391 5.7545 6.0252
```

Most intense lines, 15 to 90 degrees two-theta, low angle first:
2theta	Rel. int.
17.84	42
29.70	83
30.20	53
31.99	69
33.77	100
35.43	51

***

[6]
For AgPbF3, a PBE-relaxed structure gives the calculated X-ray powder pattern in this record (Cu Ka).

Structural model:
```
AgPbF3
1.0
6.5908 0.0000 0.0000
0.0000 6.2078 0.0000
0.0000 0.0000 8.7406
Ag Pb F
4 4 12
Cartesian
0.0051 0.0419 0.0000
3.2903 3.1458 4.3703
3.3005 3.0621 0.0000
6.5857 6.1660 4.3703
0.4860 3.1913 6.6290
2.8093 0.0874 2.2587
3.7814 6.1204 6.6290
6.1047 3.0165 2.2587
0.4848 5.2097 2.0852
0.8457 2.3380 0.0853
1.3400 1.9064 3.3345
1.9553 5.0103 7.7048
2.4497 5.4419 4.4556
2.8106 2.1058 6.4555
3.7802 4.1020 2.0852
4.1411 0.7659 0.0853
4.6354 1.1976 3.3345
5.2507 4.3015 7.7048
5.7451 3.8698 4.4556
6.1060 0.9981 6.4555
```

Most intense lines, 15 to 90 degrees two-theta, low angle first:
2theta	Rel. int.
27.06	20
28.41	100
28.76	27
41.31	35
50.74	26
51.13	20

***

[7]
For MgAgBiO5, a PBE-relaxed structure gives the calculated X-ray powder pattern in this record (Cu Ka).

Structural model:
```
MgAgBiO5
1.0
5.6555 0.0000 0.0000
0.0000 10.7284 0.0000
-4.9716 0.0000 7.9540
Mg Ag Bi O
4 4 4 20
Cartesian
-0.3465 0.6661 1.3764
-2.8323 4.6981 5.3535
3.5162 6.0304 2.6006
1.0304 10.0623 6.5776
1.6102 6.6856 0.2602
-0.8756 9.4070 4.2372
1.5595 1.3214 3.7169
-0.9263 4.0428 7.6939
-1.8284 1.0889 6.6772
0.6574 4.2754 2.7001
0.0265 6.4531 5.2539
2.5122 9.6396 1.2769
-3.2491 0.2942 5.3065
-0.7633 5.0700 1.3295
-1.0906 7.4668 3.6855
-3.5764 8.6259 7.6625
1.4801 0.4661 0.0507
-1.0057 4.8982 4.0278
0.5029 2.2138 2.2663
-1.9829 3.1504 6.2433
-1.4691 5.7896 6.6250
1.0167 10.3031 2.6479
-0.3328 0.4254 5.3061
2.1530 4.9388 1.3291
2.6668 7.5780 1.7107
0.1810 8.5146 5.6877
1.6895 5.8303 3.9263
-0.7963 10.2624 7.9033
4.2602 2.1025 0.2916
1.7744 3.2617 4.2686
1.4471 5.6584 6.6245
3.9329 10.4342 2.6475
```

Most intense lines, 15 to 90 degrees two-theta, low angle first:
2theta	Rel. int.
18.50	53
19.96	34
21.74	100
31.22	67
32.19	46
40.80	36

***

[8]
For Rb2SnBr4Cl2, a PBE-relaxed structure gives the calculated X-ray powder pattern in this record (Cu Ka).

Structural model:
```
Rb2SnBr4Cl2
1.0
6.5995 -3.8269 0.0000
6.5995 3.8269 0.0000
-4.5939 0.0000 6.2907
Rb Sn Br Cl
2 1 4 2
Cartesian
2.0675 0.0000 1.6592
6.5375 0.0000 4.6315
-2.2969 0.0000 3.1453
5.2131 1.9606 1.5043
3.3920 1.9606 4.7864
5.2131 -1.9606 1.5043
3.3920 -1.9606 4.7864
-0.1138 0.0000 4.3398
8.7188 0.0000 1.9509
```

Most intense lines, 15 to 90 degrees two-theta, low angle first:
2theta	Rel. int.
23.32	52
28.38	58
28.72	60
32.81	100
33.63	41
47.69	58

***

[9]
For Ca2AcTl2, a PBE-relaxed structure gives the calculated X-ray powder pattern in this record (Cu Ka).

Structural model:
```
Ca2AcTl2
1.0
2.0204 -14.6394 0.0000
2.0204 14.6394 0.0000
0.0000 0.0000 5.7569
Ca Ac Tl
4 2 4
Cartesian
2.0204 13.2311 4.3177
2.0204 7.7352 4.3177
2.0204 -7.7352 1.4392
2.0204 -13.2311 1.4392
2.0204 10.4856 1.4392
2.0204 -10.4856 4.3177
2.0204 4.3295 1.4392
2.0204 1.2566 4.3177
2.0204 -1.2566 1.4392
2.0204 -4.3295 4.3177
```

Most intense lines, 15 to 90 degrees two-theta, low angle first:
2theta	Rel. int.
27.13	12
30.53	18
31.06	100
44.12	13
55.26	23
64.75	12

***

[10]
For Pr4Pd2Pb, a PBE-relaxed structure gives the calculated X-ray powder pattern in this record (Cu Ka).

Structural model:
```
Pr4Pd2Pb
1.0
4.5137 -7.9284 0.0000
4.5137 7.9284 0.0000
-4.4723 0.0000 5.7015
Pr Pd Pb
8 4 2
Cartesian
2.2775 7.4955 2.8507
-1.4048 2.7477 4.7122
2.2056 3.9149 3.7939
0.8314 -2.7477 1.8614
3.1483 0.6587 2.1546
0.9121 -0.6587 5.0054
4.4418 -3.9149 0.9432
4.5137 -7.4955 0.0000
2.6325 5.2767 0.8517
0.3771 1.3903 2.7332
-1.8590 -1.3903 5.5840
0.3964 -5.2767 3.7024
6.0532 2.1435 0.9296
3.8170 -2.1435 3.7804
```

Most intense lines, 15 to 90 degrees two-theta, low angle first:
2theta	Rel. int.
30.56	64
30.67	88
30.91	100
31.20	73
31.31	70
33.89	99

***

[11]
For Ba8As5H, a PBE-relaxed structure gives the calculated X-ray powder pattern in this record (Cu Ka).

Structural model:
```
Ba8As5H
1.0
-5.0030 5.0030 5.0403
5.0030 -5.0030 5.0403
5.0030 5.0030 -5.0403
Ba As H
8 5 1
Cartesian
1.8315 -0.6826 3.1075
3.1715 5.6856 -1.9329
0.6715 3.1032 0.7095
4.3204 3.1715 1.9329
-0.6715 6.9028 0.7095
-1.8998 4.3315 4.3308
0.6826 1.8315 6.9732
1.8998 5.6745 4.3308
0.0000 0.0000 0.0000
3.7158 2.5354 -1.2258
2.4676 -1.2872 6.2662
1.2872 2.4676 3.8145
2.5354 6.2902 1.2258
5.0030 0.0000 2.5202
```

Most intense lines, 15 to 90 degrees two-theta, low angle first:
2theta	Rel. int.
25.11	28
28.01	45
28.19	100
33.38	59
33.49	28
46.09	29

***

[12]
For Co2Mo4C, a PBE-relaxed structure gives the calculated X-ray powder pattern in this record (Cu Ka).

Structural model:
```
Co2Mo4C
1.0
0.0000 5.6514 5.6514
5.6514 0.0000 5.6514
5.6514 5.6514 0.0000
Co Mo C
8 16 4
Cartesian
8.9752 5.1534 5.1534
2.3277 2.3277 2.3277
6.1495 6.1495 2.3277
6.1495 2.3277 6.1495
5.1534 8.9752 5.1534
5.1534 5.1534 8.9752
8.9752 8.9752 8.9752
2.3277 6.1495 6.1495
0.0000 0.0000 0.0000
2.8257 2.8257 0.0000
2.8257 0.0000 2.8257
4.2386 4.2386 2.1253
4.2386 2.1253 4.2386
6.3519 4.2386 4.2386
7.0643 7.0643 4.9510
7.0643 4.9510 7.0643
9.1776 7.0643 7.0643
0.0000 2.8257 2.8257
2.1253 4.2386 4.2386
4.2386 6.3519 4.2386
4.2386 4.2386 6.3519
4.9510 7.0643 7.0643
7.0643 9.1776 7.0643
7.0643 7.0643 9.1776
5.6514 2.8257 2.8257
2.8257 5.6514 2.8257
2.8257 2.8257 5.6514
5.6514 5.6514 5.6514
```

Most intense lines, 15 to 90 degrees two-theta, low angle first:
2theta	Rel. int.
34.59	25
39.04	40
41.51	100
45.39	28
70.72	36
85.47	19